(1)
Starting from DFT lattice parameters and positions (GGA-PBE), the PXRD pattern of Co3Ni10 was simulated for Cu Kα, 1.54184 Å.
Neutral-atom scattering factors, no anomalous dispersion.

Largest 10 diffraction maxima, in order of rising 2θ, 10° ≤ 2θ ≤ 80°:
d = 2.288 Å, I 50
d = 2.059 Å, I 49
d = 2.009 Å, I 27
d = 1.988 Å, I 100
d = 1.974 Å, I 53
d = 1.918 Å, I 53
d = 1.882 Å, I 23
d = 1.832 Å, I 53
d = 1.717 Å, I 27
d = 1.236 Å, I 23

Structure:
```
Co3Ni10
1.0
2.2876 1.3207 8.0357
-2.2876 1.3207 8.0357
0.0000 -2.6414 8.0357
Co Ni
3 10
Direct
0.0000 0.0000 0.0000
0.1645 0.1645 0.1645
0.8355 0.8355 0.8355
0.0891 0.0891 0.5843
0.0891 0.5843 0.0891
0.3489 0.3489 0.3489
0.4157 0.9109 0.9109
0.4525 0.4525 0.4525
0.5475 0.5475 0.5475
0.5843 0.0891 0.0891
0.6511 0.6511 0.6511
0.9109 0.4157 0.9109
0.9109 0.9109 0.4157
```

=====

(2)
Starting from DFT lattice parameters and positions (GGA-PBE), the PXRD pattern of Hf4Ga3Mo2N3 was simulated for Cu Kα, 1.54184 Å.
Neutral-atom scattering factors, no anomalous dispersion.

Largest 10 diffraction maxima, in order of rising 2θ, 10° ≤ 2θ ≤ 80°:
d = 6.790 Å, I 14
d = 2.740 Å, I 12
d = 2.727 Å, I 22
d = 2.342 Å, I 100
d = 2.332 Å, I 48
d = 2.263 Å, I 27
d = 1.745 Å, I 14
d = 1.579 Å, I 23
d = 1.322 Å, I 13
d = 1.294 Å, I 12

Structure:
```
Hf4Ga3Mo2N3
1.0
4.7148 -2.7401 0.0000
4.7148 2.7401 0.0000
-3.0886 0.0000 13.5796
Hf Ga Mo N
8 6 4 6
Direct
0.0215 0.2061 0.0932
0.1461 0.3015 0.4070
0.2061 0.0215 0.5932
0.3015 0.1461 0.9070
0.6985 0.8539 0.0930
0.7939 0.9785 0.4068
0.8539 0.6985 0.5930
0.9785 0.7939 0.9068
0.1197 0.8803 0.2500
0.2894 0.4146 0.7478
0.4146 0.2894 0.2478
0.5854 0.7106 0.7522
0.7106 0.5854 0.2522
0.8803 0.1197 0.7500
0.3798 0.5279 0.0866
0.4721 0.6202 0.4134
0.5279 0.3798 0.5866
0.6202 0.4721 0.9134
0.0000 0.5000 0.0000
0.1434 0.6783 0.5000
0.3217 0.8566 0.0000
0.5000 0.0000 0.5000
0.6783 0.1434 0.0000
0.8566 0.3217 0.5000
```